For Pa3Be2Ni7, a cell relaxed with GGA-PBE gives the computed powder diffraction line list in this record (Cu Kα (λ = 1.5418 Å)).
No peak broadening, texture or thermal motion is included.

Main lines, sorted by position (2θ from 15° to 90°):
2θ 20.99, d 4.233, intensity 60, hkl 1 0 1
2θ 34.24, d 2.619, intensity 100, hkl 1 0 7
2θ 36.13, d 2.486, intensity 62, hkl 1 1 0
2θ 37.51, d 2.398, intensity 65, hkl 0 1 8
2θ 42.15, d 2.144, intensity 64, hkl 0 2 1
2θ 43.33, d 2.088, intensity 97, hkl 1 1 6
2θ 63.76, d 1.460, intensity 34, hkl 2 1 7
2θ 72.14, d 1.309, intensity 32, hkl 2 0 14

Cell and atoms:
```
data_Pa3Be2Ni7
_symmetry_space_group_name_H-M 'R -3 m'
_symmetry_Int_Tables_number 166
_symmetry_space_group_name_Hall '-R 3 2"'
_cell_length_a 4.9724
_cell_length_b 4.9724
_cell_length_c 23.0928
_cell_angle_alpha 90.00
_cell_angle_beta 90.00
_cell_angle_gamma 120.00
loop_
_atom_site_label
_atom_site_type_symbol
_atom_site_fract_x
_atom_site_fract_y
_atom_site_fract_z
_atom_site_occupancy
Pa1 Pa 0.0000 0.0000 0.0000 1
Pa2 Pa 0.0000 0.0000 0.1427 1
Be1 Be 0.0000 0.0000 0.3314 1
Ni1 Ni 0.0000 0.0000 0.5000 1
Ni2 Ni 0.0030 0.5015 0.0755 1
```